No. 1
Theoretical powder XRD pattern of LiLaMg14O16 for Cu Kα X-rays, from a DFT-relaxed cell (PBE, the Materials Project).
No peak broadening, texture or thermal motion is included.

Main lines, by angle (2θ from 10° to 90°):
d (Å), intensity
8.707, 63
3.902, 59
2.907, 52
2.188, 53
2.177, 100
1.543, 59

Crystal structure
Cell: 8.7065 8.7065 4.3768 Å, 90.00 90.00 90.00°
Fractional coordinates of all 32 atoms:
Li (0.0000, 0.0000, 0.0000)
La (0.5000, 0.5000, 0.0000)
Mg (0.0000, 0.2406, 0.5000)
Mg (0.0000, 0.5000, 0.0000)
Mg (0.0000, 0.7594, 0.5000)
Mg (0.2302, 0.5000, 0.5000)
Mg (0.2354, 0.2354, 0.0000)
Mg (0.2354, 0.7646, 0.0000)
Mg (0.2406, 0.0000, 0.5000)
Mg (0.5000, 0.0000, 0.0000)
Mg (0.5000, 0.2302, 0.5000)
Mg (0.5000, 0.7698, 0.5000)
Mg (0.7594, 0.0000, 0.5000)
Mg (0.7646, 0.2354, 0.0000)
Mg (0.7646, 0.7646, 0.0000)
Mg (0.7698, 0.5000, 0.5000)
O (0.0000, 0.0000, 0.5000)
O (0.0000, 0.2549, 0.0000)
O (0.0000, 0.5000, 0.5000)
O (0.0000, 0.7451, 0.0000)
O (0.2315, 0.5000, 0.0000)
O (0.2517, 0.2517, 0.5000)
O (0.2517, 0.7483, 0.5000)
O (0.2549, 0.0000, 0.0000)
O (0.5000, 0.0000, 0.5000)
O (0.5000, 0.2315, 0.0000)
O (0.5000, 0.5000, 0.5000)
O (0.5000, 0.7685, 0.0000)
O (0.7451, 0.0000, 0.0000)
O (0.7483, 0.2517, 0.5000)
O (0.7483, 0.7483, 0.5000)
O (0.7685, 0.5000, 0.0000)


No. 2
Theoretical powder XRD pattern of SmI2 for Cu Kα X-rays, from a DFT-relaxed cell (PBE, the Materials Project).
No peak broadening, texture or thermal motion is included.

Main lines, by angle (2θ from 10° to 90°):
d (Å), intensity
3.247, 56
3.209, 81
3.046, 61
2.974, 100
2.910, 64
2.563, 83

Crystal structure
Cell: 7.4003 14.1309 8.2474 Å, 90.00 90.00 90.00°
Fractional coordinates of all 24 atoms:
Sm (0.1750, 0.0944, 0.0498)
Sm (0.1750, 0.4056, 0.5498)
Sm (0.3250, 0.5944, 0.0498)
Sm (0.3250, 0.9056, 0.5498)
Sm (0.6750, 0.0944, 0.4502)
Sm (0.6750, 0.4056, 0.9502)
Sm (0.8250, 0.5944, 0.4502)
Sm (0.8250, 0.9056, 0.9502)
I (0.0178, 0.0462, 0.7067)
I (0.0178, 0.4538, 0.2067)
I (0.1952, 0.7048, 0.3841)
I (0.1952, 0.7952, 0.8841)
I (0.3048, 0.2048, 0.3841)
I (0.3048, 0.2952, 0.8841)
I (0.4822, 0.5462, 0.7067)
I (0.4822, 0.9538, 0.2067)
I (0.5178, 0.0462, 0.7933)
I (0.5178, 0.4538, 0.2933)
I (0.6952, 0.7048, 0.1159)
I (0.6952, 0.7952, 0.6159)
I (0.8048, 0.2048, 0.1159)
I (0.8048, 0.2952, 0.6159)
I (0.9822, 0.5462, 0.7933)
I (0.9822, 0.9538, 0.2933)


No. 3
Theoretical powder XRD pattern of Tb4Ga16Co3 for Cu Kα X-rays, from a DFT-relaxed cell (PBE, the Materials Project).
No peak broadening, texture or thermal motion is included.

Main lines, by angle (2θ from 10° to 90°):
d (Å), intensity
2.652, 55
2.339, 100
2.221, 28
2.134, 71
1.539, 33
1.268, 24

Crystal structure
Cell: 6.0361 6.0361 11.1063 Å, 90.00 90.00 90.00°
Fractional coordinates of all 23 atoms:
Tb (0.0000, 0.5000, 0.1943)
Tb (0.0000, 0.5000, 0.8057)
Tb (0.5000, 0.0000, 0.1943)
Tb (0.5000, 0.0000, 0.8057)
Ga (0.0000, 0.0000, 0.1954)
Ga (0.0000, 0.0000, 0.8046)
Ga (0.2196, 0.2196, 0.0000)
Ga (0.2196, 0.7804, 0.0000)
Ga (0.2499, 0.2499, 0.3845)
Ga (0.2499, 0.2499, 0.6155)
Ga (0.2499, 0.7501, 0.3845)
Ga (0.2499, 0.7501, 0.6155)
Ga (0.5000, 0.5000, 0.2189)
Ga (0.5000, 0.5000, 0.7811)
Ga (0.7501, 0.2499, 0.3845)
Ga (0.7501, 0.2499, 0.6155)
Ga (0.7501, 0.7501, 0.3845)
Ga (0.7501, 0.7501, 0.6155)
Ga (0.7804, 0.2196, 0.0000)
Ga (0.7804, 0.7804, 0.0000)
Co (0.0000, 0.5000, 0.5000)
Co (0.5000, 0.0000, 0.5000)
Co (0.5000, 0.5000, 0.0000)


No. 4
Theoretical powder XRD pattern of LaMgAu for Cu Kα X-rays, from a DFT-relaxed cell (PBE, the Materials Project).
No peak broadening, texture or thermal motion is included.

Main lines, by angle (2θ from 10° to 90°):
d (Å), intensity
3.942, 61
3.632, 36
2.902, 62
2.671, 100
2.276, 44
2.211, 43

Crystal structure
Cell: 7.8837 7.8837 4.2891 Å, 90.00 90.00 120.00°
Fractional coordinates of all 9 atoms:
La (0.0000, 0.5908, 0.0000)
La (0.4092, 0.4092, 0.0000)
La (0.5908, 0.0000, 0.0000)
Mg (0.0000, 0.2415, 0.5000)
Mg (0.2415, 0.0000, 0.5000)
Mg (0.7585, 0.7585, 0.5000)
Au (0.0000, 0.0000, 0.0000)
Au (0.3333, 0.6667, 0.5000)
Au (0.6667, 0.3333, 0.5000)


No. 5
Theoretical powder XRD pattern of Na3Sc2B3O9 for Cu Kα X-rays, from a DFT-relaxed cell (PBE, the Materials Project).
No peak broadening, texture or thermal motion is included.

Main lines, by angle (2θ from 10° to 90°):
d (Å), intensity
6.025, 100
4.180, 23
2.653, 71
2.509, 38
2.067, 30
1.823, 30

Crystal structure
Cell: 8.3715 8.3715 8.3715 Å, 62.56 62.56 62.56°
Fractional coordinates of all 34 atoms:
Na (0.0845, 0.7500, 0.4155)
Na (0.2500, 0.5845, 0.9155)
Na (0.4155, 0.0845, 0.7500)
Na (0.5845, 0.9155, 0.2500)
Na (0.7500, 0.4155, 0.0845)
Na (0.9155, 0.2500, 0.5845)
Sc (0.1719, 0.1719, 0.1719)
Sc (0.3281, 0.3281, 0.3281)
Sc (0.6719, 0.6719, 0.6719)
Sc (0.8281, 0.8281, 0.8281)
B (0.0889, 0.4111, 0.7500)
B (0.2500, 0.9111, 0.5889)
B (0.4111, 0.7500, 0.0889)
B (0.5889, 0.2500, 0.9111)
B (0.7500, 0.0889, 0.4111)
B (0.9111, 0.5889, 0.2500)
O (0.0712, 0.4288, 0.2500)
O (0.0935, 0.8492, 0.6861)
O (0.1508, 0.3139, 0.9065)
O (0.1861, 0.3492, 0.5935)
O (0.2500, 0.0712, 0.4288)
O (0.3139, 0.9065, 0.1508)
O (0.3492, 0.5935, 0.1861)
O (0.4065, 0.8139, 0.6508)
O (0.4288, 0.2500, 0.0712)
O (0.5712, 0.7500, 0.9288)
O (0.5935, 0.1861, 0.3492)
O (0.6508, 0.4065, 0.8139)
O (0.6861, 0.0935, 0.8492)
O (0.7500, 0.9288, 0.5712)
O (0.8139, 0.6508, 0.4065)
O (0.8492, 0.6861, 0.0935)
O (0.9065, 0.1508, 0.3139)
O (0.9288, 0.5712, 0.7500)


No. 6
Theoretical powder XRD pattern of ErAlZn for Cu Kα X-rays, from a DFT-relaxed cell (PBE, the Materials Project).
No peak broadening, texture or thermal motion is included.

Main lines, by angle (2θ from 10° to 90°):
d (Å), intensity
3.900, 42
2.590, 100
2.252, 51
1.699, 28
1.373, 20
1.356, 26

Crystal structure
Cell: 4.5037 4.5037 6.9257 Å, 90.00 90.00 120.00°
Fractional coordinates of all 6 atoms:
Er (0.0000, 0.0000, 0.0000)
Er (0.0000, 0.0000, 0.5000)
Al (0.3333, 0.6667, 0.2500)
Al (0.6667, 0.3333, 0.7500)
Zn (0.3333, 0.6667, 0.7500)
Zn (0.6667, 0.3333, 0.2500)


No. 7
Theoretical powder XRD pattern of Na3Re for Cu Kα X-rays, from a DFT-relaxed cell (PBE, the Materials Project).
No peak broadening, texture or thermal motion is included.

Main lines, by angle (2θ from 10° to 90°):
d (Å), intensity
5.732, 45
3.959, 100
3.309, 45
2.539, 86
2.109, 26
2.014, 37

Crystal structure
Cell: 6.6186 6.6186 5.4734 Å, 90.00 90.00 120.00°
Fractional coordinates of all 8 atoms:
Na (0.1739, 0.3479, 0.2500)
Na (0.1739, 0.8261, 0.2500)
Na (0.3479, 0.1739, 0.7500)
Na (0.6521, 0.8261, 0.2500)
Na (0.8261, 0.1739, 0.7500)
Na (0.8261, 0.6521, 0.7500)
Re (0.3333, 0.6667, 0.7500)
Re (0.6667, 0.3333, 0.2500)


No. 8
Theoretical powder XRD pattern of Pr3In5 for Cu Kα X-rays, from a DFT-relaxed cell (PBE, the Materials Project).
No peak broadening, texture or thermal motion is included.

Main lines, by angle (2θ from 10° to 90°):
d (Å), intensity
3.114, 29
2.776, 100
2.729, 26
2.699, 32
2.662, 36
2.368, 26

Crystal structure
Cell: 6.6448 6.6448 10.6465 Å, 90.00 90.00 78.30°
Fractional coordinates of all 16 atoms:
Pr (0.1320, 0.8680, 0.7500)
Pr (0.2981, 0.2981, 0.0000)
Pr (0.2981, 0.2981, 0.5000)
Pr (0.7019, 0.7019, 0.0000)
Pr (0.7019, 0.7019, 0.5000)
Pr (0.8680, 0.1320, 0.2500)
In (0.0026, 0.4235, 0.7500)
In (0.1928, 0.8072, 0.0503)
In (0.1928, 0.8072, 0.4497)
In (0.4235, 0.0026, 0.2500)
In (0.4861, 0.5139, 0.2500)
In (0.5139, 0.4861, 0.7500)
In (0.5765, 0.9974, 0.7500)
In (0.8072, 0.1928, 0.5503)
In (0.8072, 0.1928, 0.9497)
In (0.9974, 0.5765, 0.2500)